Diffraction record for Li7Ti7O16. The XRD peak list is simulated, not measured: it uses a DFT-relaxed cell (PBE, Alexandria) and Cu Kα X-rays.

Top 10 peaks for 15° ≤ 2θ ≤ 90°, by angle:
2θ/deg  d (Å)  I_rel
18.12  4.894  62
18.30  4.848  70
35.20  2.549  9
35.45  2.532  45
42.99  2.104  100
56.66  1.625  10
62.17  1.493  28
62.66  1.483  28
65.84  1.419  11
79.00  1.212  11

Structure:
```
Li7Ti7O16
1.0
2.965 1.712 9.789
-2.965 1.712 9.789
0.000 -3.424 9.789
Li Ti O
7 7 16
direct
0.000 0.000 0.000
0.081 0.081 0.081
0.263 0.263 0.263
0.279 0.750 0.750
0.453 0.453 0.453
0.750 0.279 0.750
0.750 0.750 0.279
0.019 0.019 0.507
0.019 0.507 0.019
0.020 0.509 0.509
0.507 0.019 0.019
0.509 0.020 0.509
0.509 0.509 0.020
0.764 0.764 0.764
0.104 0.659 0.659
0.145 0.145 0.145
0.150 0.150 0.626
0.150 0.626 0.150
0.375 0.375 0.906
0.375 0.906 0.375
0.383 0.383 0.383
0.413 0.872 0.872
0.626 0.150 0.150
0.641 0.641 0.641
0.659 0.104 0.659
0.659 0.659 0.104
0.872 0.413 0.872
0.872 0.872 0.413
0.886 0.886 0.886
0.906 0.375 0.375
```

***

Diffraction record for Li2Ti2O5. The XRD peak list is simulated, not measured: it uses a DFT-relaxed cell (PBE, Alexandria) and Cu Kα X-rays.

Top 10 peaks for 15° ≤ 2θ ≤ 90°, by angle:
2θ/deg  d (Å)  I_rel
18.79  4.723  58
22.42  3.965  62
23.06  3.857  100
27.13  3.287  14
31.88  2.807  14
33.20  2.699  31
36.60  2.455  20
37.31  2.410  18
38.82  2.320  16
61.55  1.507  16

Structure:
```
Li2Ti2O5
1.0
5.881 0.000 0.000
0.000 5.397 0.000
0.000 0.000 15.854
Li Ti O
8 8 20
direct
0.094 0.182 0.049
0.094 0.818 0.549
0.406 0.318 0.549
0.406 0.682 0.049
0.594 0.318 0.951
0.594 0.682 0.451
0.906 0.182 0.451
0.906 0.818 0.951
0.091 0.305 0.858
0.091 0.695 0.358
0.409 0.195 0.358
0.409 0.805 0.858
0.591 0.195 0.142
0.591 0.805 0.642
0.909 0.305 0.642
0.909 0.695 0.142
0.000 0.232 0.750
0.000 0.768 0.250
0.092 0.187 0.564
0.092 0.813 0.064
0.131 0.354 0.375
0.131 0.646 0.875
0.369 0.146 0.875
0.369 0.854 0.375
0.408 0.313 0.064
0.408 0.687 0.564
0.500 0.268 0.250
0.500 0.732 0.750
0.592 0.313 0.436
0.592 0.687 0.936
0.631 0.146 0.625
0.631 0.854 0.125
0.869 0.354 0.125
0.869 0.646 0.625
0.908 0.187 0.936
0.908 0.813 0.436
```